Diffraction record for TmCdPt. The XRD peak list is theoretical, not measured: it uses a cell relaxed with GGA-PBE and copper Kα.
Lines closer than 0.1° are merged.

Largest 12 diffraction maxima, low angle first, 10° ≤ 2θ ≤ 80°:
d (Å)	2theta	I (rel.)	index
4.338	20.47	7	1 0 0
2.880	31.05	13	0 0 2
2.505	35.85	100	1 1 0
2.400	37.48	68	1 0 2
1.890	48.14	24	1 1 2
1.733	52.84	25	2 0 2
1.446	64.43	18	3 0 0
1.440	64.73	6	0 0 4
1.425	65.50	26	2 1 2
1.292	73.24	7	3 0 2
1.252	75.99	11	2 2 0
1.248	76.26	22	1 1 4

Structural model:
```
data_TmCdPt
_chemical_formula_sum 'Tm2 Cd2 Pt2'
_space_group_name_H-M_alt 'P 1'
_space_group_IT_number 1
_space_group_name_Hall 'P 1'
_cell_length_a 5.009
_cell_length_b 5.009
_cell_length_c 5.761
_cell_angle_alpha 90.00
_cell_angle_beta 90.00
_cell_angle_gamma 120.00
loop_
_atom_site_label
_atom_site_type_symbol
_atom_site_fract_x
_atom_site_fract_y
_atom_site_fract_z
Tm1 Tm 0.333 0.667 0.250
Tm2 Tm 0.667 0.333 0.750
Cd1 Cd 0.000 0.000 0.000
Cd2 Cd 0.000 0.000 0.500
Pt1 Pt 0.333 0.667 0.750
Pt2 Pt 0.667 0.333 0.250
```

=====

Diffraction record for Sr3MgCd2. The XRD peak list is theoretical, not measured: it uses a cell relaxed with GGA-PBE and copper Kα.
Lines closer than 0.1° are merged.

Largest 12 diffraction maxima, low angle first, 10° ≤ 2θ ≤ 80°:
d (Å)	2theta	I (rel.)	index
6.119	14.48	6	0 0 2
3.893	22.85	5	1 0 1
2.903	30.80	51	1 1 0
2.894	30.90	100	1 0 3
2.053	44.11	19	2 0 0
2.040	44.42	9	0 0 6
1.674	54.83	38	2 1 3
1.669	55.02	18	1 1 6
1.452	64.15	6	2 2 0
1.447	64.39	11	2 0 6
1.298	72.87	16	3 1 0
1.291	73.34	8	1 0 9

Structural model:
```
data_Sr3MgCd2
_chemical_formula_sum 'Sr3 Mg1 Cd2'
_space_group_name_H-M_alt 'P 1'
_space_group_IT_number 1
_space_group_name_Hall 'P 1'
_cell_length_a 4.106
_cell_length_b 4.106
_cell_length_c 12.238
_cell_angle_alpha 90.00
_cell_angle_beta 90.00
_cell_angle_gamma 90.00
loop_
_atom_site_label
_atom_site_type_symbol
_atom_site_fract_x
_atom_site_fract_y
_atom_site_fract_z
Sr1 Sr 0.000 0.000 0.000
Sr2 Sr 0.000 0.000 0.325
Sr3 Sr 0.000 0.000 0.675
Mg1 Mg 0.500 0.500 0.500
Cd1 Cd 0.500 0.500 0.165
Cd2 Cd 0.500 0.500 0.835
```

=====

Diffraction record for SnCI3N. The XRD peak list is theoretical, not measured: it uses a cell relaxed with GGA-PBE and copper Kα.
Lines closer than 0.1° are merged.

Largest 12 diffraction maxima, low angle first, 10° ≤ 2θ ≤ 80°:
d (Å)	2theta	I (rel.)	index
7.274	12.17	62	0 0 1
5.752	15.41	77	1 0 0
4.512	19.68	26	1 0 1
3.637	24.48	41	0 0 2
3.550	25.09	100	1 1 1
2.876	31.10	82	2 0 0
2.674	33.51	23	2 0 1
2.256	39.97	45	2 0 2
2.083	43.45	53	1 1 3
2.033	44.56	30	2 2 0
1.764	51.82	42	3 1 1
1.455	63.99	34	3 1 3

Structural model:
```
data_SnCI3N
_chemical_formula_sum 'Sn1 C1 I3 N1'
_space_group_name_H-M_alt 'P 1'
_space_group_IT_number 1
_space_group_name_Hall 'P 1'
_cell_length_a 5.752
_cell_length_b 5.752
_cell_length_c 7.274
_cell_angle_alpha 90.00
_cell_angle_beta 90.00
_cell_angle_gamma 90.00
loop_
_atom_site_label
_atom_site_type_symbol
_atom_site_fract_x
_atom_site_fract_y
_atom_site_fract_z
Sn1 Sn 0.000 0.000 0.000
C1 C 0.500 0.500 0.348
I1 I 0.000 0.000 0.631
I2 I 0.000 0.500 0.127
I3 I 0.500 0.000 0.127
N1 N 0.500 0.500 0.510
```

=====

> Number 1 is which compound?

TmCdPt

=====

> Number 3 is which compound?

SnCI3N

=====

> What is the formula in the second record?

Sr3MgCd2